# Ca2AgH6Pd
Computed powder XRD pattern, Cu Kα (λ = 1.5418 Å). Input: a DFT-relaxed cell (PBE, Alexandria).

Main lines, low angle first (10° ≤ 2θ ≤ 90°):
hkl	Position (°2θ)	Rel. int.
1 0 0	20.18	100
0 1 1	26.57	16
1 1 0	35.33	68
1 0 2	40.38	69
2 0 0	41.03	15
0 2 2	54.72	28
2 1 0	55.24	13
3 0 0	63.42	12
2 1 2	66.83	29
1 3 2	88.57	14

Structural model:
```
data_Ca2AgH6Pd
_symmetry_space_group_name_H-M 'P -3 m 1'
_symmetry_Int_Tables_number 164
_symmetry_space_group_name_Hall '-P 3 2"'
_cell_length_a 5.0805
_cell_length_b 5.0805
_cell_length_c 5.1860
_cell_angle_alpha 90.00
_cell_angle_beta 90.00
_cell_angle_gamma 120.00
loop_
_atom_site_label
_atom_site_fract_x
_atom_site_fract_y
_atom_site_fract_z
Ca1 0.3333 0.6667 0.2780
Ag1 0.0000 0.0000 0.0000
H1 0.1714 0.3428 0.7187
Pd1 0.0000 0.0000 0.5000
```